Structure and computed powder diffraction line list of LiCrCd2F8 (the PBE+U geometry in Alexandria; Cu Kα, 1.54184 Å).

Top 12 peaks for 15 to 90 degrees two-theta, low angle first:
| hkl | Position (°2θ) | I (rel.) |
| --- | --- | --- |
| 1 0 0 | 18.0 | 81 |
| 0 1 -1 | 22.2 | 20 |
| 1 1 0 | 25.1 | 81 |
| 1 -1 0 | 26.0 | 84 |
| 1 0 2 | 31.9 | 100 |
| 1 -1 2 | 37.1 | 55 |
| 1 2 0 | 40.4 | 31 |
| 0 2 2 | 45.4 | 18 |
| 2 1 2 | 48.7 | 42 |
| 2 -1 2 | 49.7 | 44 |
| 0 3 2 | 62.7 | 17 |
| 3 0 2 | 62.8 | 16 |

Crystal structure
```
LiCrCd2F8
1.0
4.923 0.000 0.000
0.168 4.933 0.000
0.010 0.009 6.839
Li Cr Cd F
1 1 2 8
Direct
0.000 0.000 0.000
0.000 0.000 0.500
0.499 0.499 0.757
0.501 0.501 0.243
0.184 0.179 0.715
0.185 0.180 0.285
0.283 0.712 0.500
0.283 0.714 0.000
0.717 0.286 0.000
0.717 0.288 0.500
0.815 0.820 0.715
0.816 0.821 0.285
```